[1]
# BaLiSn2Au
Simulated powder XRD pattern, CuKα. Input: a crystal structure in Alexandria, relaxed with GGA-PBE.

Atomic structure:
Cell: 6.736 6.736 6.736 Å, 138.03 138.03 60.86°
Sites, in units of the cell vectors:
Ba  0.000  0.000  0.000
Li  0.750  0.250  0.500
Sn  0.375  0.375  0.000
Sn  0.625  0.625  0.000
Au  0.250  0.750  0.500

Main lines, by angle (2θ = 5–70°):
2theta  I (rel.)
19.92  76.4
29.58  100.0
30.38  81.2
37.27  70.4
43.22  36.1
48.28  52.4

[2]
# Li7Zn3Pd
Simulated powder XRD pattern, CuKα. Input: a crystal structure in Alexandria, relaxed with GGA-PBE.

Atomic structure:
Cell: 10.750 10.750 12.480 Å, 90.00 90.00 165.35°
Sites, in units of the cell vectors:
Li  0.052  0.948  0.636
Li  0.052  0.948  0.864
Li  0.083  0.917  0.093
Li  0.083  0.917  0.407
Li  0.180  0.820  0.750
Li  0.223  0.777  0.103
Li  0.223  0.777  0.397
Li  0.777  0.223  0.603
Li  0.777  0.223  0.897
Li  0.820  0.180  0.250
Li  0.917  0.083  0.593
Li  0.917  0.083  0.907
Li  0.948  0.052  0.136
Li  0.948  0.052  0.364
Zn  0.344  0.656  0.055
Zn  0.344  0.656  0.445
Zn  0.347  0.653  0.750
Zn  0.653  0.347  0.250
Zn  0.656  0.344  0.555
Zn  0.656  0.344  0.945
Pd  0.469  0.531  0.750
Pd  0.531  0.469  0.250

Main lines, by angle (2θ = 5–70°):
2theta  I (rel.)
10.91  46.3
16.46  67.7
22.95  100.0
25.06  45.4
39.61  43.2
40.18  53.8